# EuPd3S4
Computed X-ray diffraction stick pattern, CuKα. Input: a crystal structure in Alexandria, relaxed with GGA-PBE.

Structural model:
Lattice parameters (Å, degrees): 6.741 6.741 6.741 90.00 90.00 90.00
Space group Pm-3n (No. 223)
Inequivalent atoms, fractional coordinates:
1 Eu 0.000 0.000 0.000 (multiplicity 2)
2 Pd 0.000 0.250 0.500 (multiplicity 6)
3 S 0.250 0.250 0.250 (multiplicity 8)

Main lines, by intensity (15 to 90 degrees two-theta):
- 2.752 Å, 32.53 deg, rel. 100, hkl 2 1 1
- 3.015 Å, 29.63 deg, rel. 89, hkl 2 1 0
- 1.802 Å, 50.67 deg, rel. 57, hkl 3 2 1
- 1.685 Å, 54.44 deg, rel. 30, hkl 4 0 0
- 1.870 Å, 48.70 deg, rel. 22, hkl 3 2 0
- 1.471 Å, 63.21 deg, rel. 20, hkl 4 2 1
- 1.192 Å, 80.62 deg, rel. 19, hkl 4 4 0
- 1.094 Å, 89.65 deg, rel. 17, hkl 6 1 1